SmEuNbVO6: simulated powder diffractogram (λ = 1.5418 Å (Cu Kα)), based on DFT lattice parameters and positions (PBE+U).

Lattice parameters (Å, degrees): 8.0410 8.0410 8.0410 90.00 90.00 90.00
Space group F-43m (No. 216)
Asymmetric unit:
Sm  0.0000  0.0000  0.0000
Eu  0.0000  0.0000  0.5000
Nb  0.2500  0.2500  0.7500
V  0.2500  0.2500  0.2500
O  0.0017  0.2500  0.7500

Main lines, by intensity (2θ = 15–90°):
| Position (°2θ) | I (rel.) |
| --- | --- |
| 31.47 | 100 |
| 56.03 | 39 |
| 45.10 | 31 |
| 65.69 | 19 |
| 74.65 | 17 |
| 38.79 | 14 |
| 22.11 | 9 |
| 83.25 | 6 |
| 50.78 | 5 |
| 78.98 | 5 |



Eu2NbWO6: simulated powder diffractogram (λ = 1.5418 Å (Cu Kα)), based on DFT lattice parameters and positions (PBE+U).

Lattice parameters (Å, degrees): 8.2296 8.2296 8.2296 90.00 90.00 90.00
Space group Fm-3m (No. 225)
Asymmetric unit:
Eu  0.2500  0.2500  0.2500
Nb  0.0000  0.0000  0.0000
W  0.0000  0.0000  0.5000
O  0.0000  0.0000  0.2437

Main lines, by intensity (2θ = 15–90°):
| Position (°2θ) | I (rel.) |
| --- | --- |
| 30.73 | 100 |
| 54.63 | 40 |
| 44.01 | 28 |
| 89.02 | 22 |
| 64.00 | 18 |
| 72.66 | 18 |
| 80.93 | 6 |
| 18.68 | 5 |
| 36.20 | 3 |
| 37.87 | 2 |